Diffraction record for TiZnNiP3O12. The powder diffractogram is computed, not measured: it uses a structure optimized by DFT (GGA+U) and Cu Kα X-rays.

Crystal structure
```
TiZnNiP3O12
1.0
4.3107 2.4888 6.9110
-4.3107 2.4888 6.9110
0.0000 -4.9776 6.9110
Ti Zn Ni P O
2 2 2 6 24
direct
0.0000 0.0000 0.0000 Ti
0.5000 0.5000 0.5000 Ti
0.3528 0.3528 0.3528 Zn
0.8528 0.8528 0.8528 Zn
0.2129 0.2129 0.2129 Ni
0.7129 0.7129 0.7129 Ni
0.1072 0.4010 0.8120 P
0.3120 0.9010 0.6072 P
0.4010 0.8120 0.1072 P
0.6072 0.3120 0.9010 P
0.8120 0.1072 0.4010 P
0.9010 0.6072 0.3120 P
0.0433 0.2354 0.8593 O
0.0965 0.4465 0.2948 O
0.1144 0.9095 0.7695 O
0.1699 0.3682 0.9669 O
0.2354 0.8593 0.0433 O
0.2695 0.4095 0.6144 O
0.2948 0.0965 0.4465 O
0.3593 0.7354 0.5433 O
0.3682 0.9669 0.1699 O
0.4095 0.6144 0.2695 O
0.4465 0.2948 0.0965 O
0.4669 0.8682 0.6699 O
0.5433 0.3593 0.7354 O
0.5965 0.7948 0.9465 O
0.6144 0.2695 0.4095 O
0.6699 0.4669 0.8682 O
0.7354 0.5433 0.3593 O
0.7695 0.1144 0.9095 O
0.7948 0.9465 0.5965 O
0.8593 0.0433 0.2354 O
0.8682 0.6699 0.4669 O
0.9095 0.7695 0.1144 O
0.9465 0.5965 0.7948 O
0.9669 0.1699 0.3682 O
```

Top 8 peaks for 2θ from 10° to 80°, most intense first:
2θ 24.34, intensity 100
2θ 20.60, intensity 99
2θ 33.23, intensity 80
2θ 36.09, intensity 43
2θ 47.64, intensity 37
2θ 49.87, intensity 30
2θ 56.48, intensity 26
2θ 63.08, intensity 23